Computed powder diffractogram of Pa2Zn2Ge3 for Cu Kα, 1.54184 Å, from a structure optimized by DFT (GGA-PBE).

Most intense lines, 10 to 80 degrees two-theta, by angle:
Position (°2θ)	d [Å]	I (rel.)
24.52	3.631	46
28.25	3.159	31
29.63	3.015	41
31.12	2.874	33
31.61	2.831	23
32.70	2.739	100
37.07	2.425	30
39.65	2.273	40
43.51	2.080	73
49.13	1.854	22
50.27	1.815	21
64.89	1.437	19

Structure:
Cell: 3.709 4.546 18.088 Å, 90.00 90.00 90.00°
Space group Immm (No. 71)
One atom of each set of equivalent atoms:
Pa 0.000 0.000 0.171 (multiplicity 4)
Zn 0.000 0.500 0.065 (multiplicity 4)
Ge 0.000 0.000 0.331 (multiplicity 4)
Ge 0.000 0.500 0.500 (multiplicity 2)

***

Computed powder diffractogram of Zr2PaGe2 for Cu Kα, 1.54184 Å, from a structure optimized by DFT (GGA-PBE).

Most intense lines, 10 to 80 degrees two-theta, by angle:
Position (°2θ)	d [Å]	I (rel.)
13.91	6.366	39
22.64	3.928	54
26.14	3.409	49
28.54	3.128	45
29.85	2.993	26
32.84	2.727	100
32.98	2.716	58
35.26	2.545	68
37.07	2.425	96
38.11	2.361	63
39.02	2.308	29
47.23	1.924	39

Structure:
Cell: 9.347 10.865 5.461 Å, 90.00 122.82 90.00°
Space group C2/c (No. 15)
One atom of each set of equivalent atoms:
Zr 0.183 0.095 0.476 (multiplicity 8)
Pa 0.000 0.393 0.750 (multiplicity 4)
Ge 0.000 0.127 0.750 (multiplicity 4)
Ge 0.000 0.312 0.250 (multiplicity 4)